1.
The following is a simulated powder diffractogram of Sc5Hg3. It was derived from DFT lattice parameters and positions (PBE), using a wavelength of 1.5418 Å.
Neutral-atom scattering factors, no anomalous dispersion.

Structural model:
Lattice parameters (Å, degrees): 14.809 14.809 5.608 90.00 90.00 120.00
Fractional positions:
Sc (0.001, 0.334, 0.000)
Sc (0.001, 0.667, 0.000)
Sc (0.079, 0.158, 0.245)
Sc (0.079, 0.921, 0.245)
Sc (0.158, 0.079, 0.745)
Sc (0.176, 0.588, 0.250)
Sc (0.254, 0.509, 0.750)
Sc (0.254, 0.746, 0.750)
Sc (0.333, 0.334, 0.000)
Sc (0.333, 0.999, 0.000)
Sc (0.334, 0.001, 0.500)
Sc (0.334, 0.333, 0.500)
Sc (0.412, 0.588, 0.250)
Sc (0.412, 0.824, 0.250)
Sc (0.491, 0.746, 0.750)
Sc (0.509, 0.254, 0.250)
Sc (0.588, 0.176, 0.750)
Sc (0.588, 0.412, 0.750)
Sc (0.666, 0.667, 0.000)
Sc (0.666, 0.999, 0.000)
Sc (0.667, 0.001, 0.500)
Sc (0.667, 0.666, 0.500)
Sc (0.746, 0.254, 0.250)
Sc (0.746, 0.491, 0.250)
Sc (0.824, 0.412, 0.750)
Sc (0.842, 0.921, 0.245)
Sc (0.921, 0.079, 0.745)
Sc (0.921, 0.842, 0.745)
Sc (0.999, 0.333, 0.500)
Sc (0.999, 0.666, 0.500)
Hg (0.069, 0.534, 0.750)
Hg (0.132, 0.265, 0.746)
Hg (0.132, 0.868, 0.746)
Hg (0.201, 0.402, 0.253)
Hg (0.201, 0.799, 0.253)
Hg (0.265, 0.132, 0.246)
Hg (0.402, 0.201, 0.753)
Hg (0.466, 0.534, 0.750)
Hg (0.466, 0.931, 0.750)
Hg (0.534, 0.069, 0.250)
Hg (0.534, 0.466, 0.250)
Hg (0.598, 0.799, 0.253)
Hg (0.735, 0.868, 0.746)
Hg (0.799, 0.201, 0.753)
Hg (0.799, 0.598, 0.753)
Hg (0.868, 0.132, 0.246)
Hg (0.868, 0.735, 0.246)
Hg (0.931, 0.466, 0.250)

Peak list (6 most intense, 2θ from 10° to 80°, low angle first)
| 2θ (°) | I_rel |
| --- | --- |
| 26.21 | 1000 |
| 31.93 | 432 |
| 35.86 | 923 |
| 36.40 | 369 |
| 38.39 | 465 |
| 47.13 | 548 |

=====

2.
The following is a simulated powder diffractogram of Dy2Ho2CI2Cl3. It was derived from DFT lattice parameters and positions (PBE), using a wavelength of 1.5418 Å.
Neutral-atom scattering factors, no anomalous dispersion.

Structural model:
Lattice parameters (Å, degrees): 9.391 9.391 7.892 100.12 100.12 23.46
Fractional positions:
Dy (0.131, 0.131, 0.056)
Dy (0.869, 0.869, 0.944)
Ho (0.498, 0.498, 0.207)
Ho (0.502, 0.502, 0.793)
C (0.000, 0.000, 0.000)
I (0.334, 0.334, 0.645)
I (0.666, 0.666, 0.355)
Cl (0.000, 0.000, 0.500)
Cl (0.342, 0.342, 0.174)
Cl (0.658, 0.658, 0.826)

Peak list (6 most intense, 2θ from 10° to 80°, low angle first)
| 2θ (°) | I_rel |
| --- | --- |
| 11.40 | 378 |
| 13.63 | 425 |
| 29.63 | 414 |
| 31.02 | 386 |
| 32.64 | 1000 |
| 34.16 | 440 |

=====

3.
The following is a simulated powder diffractogram of LiZr2W. It was derived from DFT lattice parameters and positions (PBE), using a wavelength of 1.5418 Å.
Neutral-atom scattering factors, no anomalous dispersion.

Structural model:
Lattice parameters (Å, degrees): 6.656 6.656 6.656 90.00 90.00 90.00
Fractional positions:
Li (0.000, 0.000, 0.000)
Li (0.000, 0.500, 0.500)
Li (0.500, 0.000, 0.500)
Li (0.500, 0.500, 0.000)
Zr (0.000, 0.000, 0.500)
Zr (0.000, 0.500, 0.000)
Zr (0.250, 0.250, 0.750)
Zr (0.250, 0.750, 0.250)
Zr (0.500, 0.000, 0.000)
Zr (0.500, 0.500, 0.500)
Zr (0.750, 0.250, 0.250)
Zr (0.750, 0.750, 0.750)
W (0.250, 0.250, 0.250)
W (0.250, 0.750, 0.750)
W (0.750, 0.250, 0.750)
W (0.750, 0.750, 0.250)

Peak list (6 most intense, 2θ from 10° to 80°, low angle first)
| 2θ (°) | I_rel |
| --- | --- |
| 23.15 | 270 |
| 26.79 | 283 |
| 38.25 | 1000 |
| 45.18 | 141 |
| 55.20 | 171 |
| 69.15 | 345 |

=====

4.
The following is a simulated powder diffractogram of CsGd2CuTe3S. It was derived from DFT lattice parameters and positions (PBE), using a wavelength of 1.5418 Å.
Neutral-atom scattering factors, no anomalous dispersion.

Structural model:
Lattice parameters (Å, degrees): 8.057 8.057 15.077 90.00 90.00 148.82
Fractional positions:
Cs (0.092, 0.908, 0.750)
Cs (0.908, 0.092, 0.250)
Gd (0.368, 0.632, 0.576)
Gd (0.368, 0.632, 0.924)
Gd (0.632, 0.368, 0.076)
Gd (0.632, 0.368, 0.424)
Cu (0.159, 0.841, 0.250)
Cu (0.841, 0.159, 0.750)
Te (0.000, 0.000, 0.000)
Te (0.000, 0.000, 0.500)
Te (0.265, 0.735, 0.112)
Te (0.265, 0.735, 0.388)
Te (0.735, 0.265, 0.612)
Te (0.735, 0.265, 0.888)
S (0.415, 0.585, 0.750)
S (0.585, 0.415, 0.250)

Peak list (6 most intense, 2θ from 10° to 80°, low angle first)
| 2θ (°) | I_rel |
| --- | --- |
| 21.06 | 524 |
| 26.29 | 598 |
| 27.51 | 1000 |
| 29.39 | 736 |
| 32.01 | 488 |
| 39.99 | 758 |

=====

5.
The following is a simulated powder diffractogram of Gd2Ho2CI5. It was derived from DFT lattice parameters and positions (PBE), using a wavelength of 1.5418 Å.
Neutral-atom scattering factors, no anomalous dispersion.

Structural model:
Lattice parameters (Å, degrees): 10.778 10.778 8.615 101.30 101.30 21.34
Fractional positions:
Gd (0.000, 0.000, 0.192)
Gd (0.000, 0.000, 0.808)
Ho (0.386, 0.386, 0.943)
Ho (0.614, 0.614, 0.057)
C (0.500, 0.500, 0.000)
I (0.151, 0.151, 0.327)
I (0.152, 0.152, 0.823)
I (0.500, 0.500, 0.500)
I (0.848, 0.848, 0.177)
I (0.849, 0.849, 0.673)

Peak list (6 most intense, 2θ from 10° to 80°, low angle first)
| 2θ (°) | I_rel |
| --- | --- |
| 10.48 | 362 |
| 25.76 | 344 |
| 30.54 | 1000 |
| 31.43 | 198 |
| 34.60 | 291 |
| 45.45 | 243 |

=====

6.
The following is a simulated powder diffractogram of Er2Ni12As7. It was derived from DFT lattice parameters and positions (PBE), using a wavelength of 1.5418 Å.
Neutral-atom scattering factors, no anomalous dispersion.

Structural model:
Lattice parameters (Å, degrees): 9.350 9.350 3.810 90.00 90.00 120.00
Fractional positions:
Er (0.000, 0.000, 0.000)
Er (0.333, 0.667, 0.500)
Ni (0.045, 0.760, 0.500)
Ni (0.105, 0.390, 0.000)
Ni (0.240, 0.285, 0.500)
Ni (0.286, 0.895, 0.000)
Ni (0.386, 0.205, 0.000)
Ni (0.551, 0.122, 0.500)
Ni (0.571, 0.449, 0.500)
Ni (0.610, 0.714, 0.000)
Ni (0.715, 0.955, 0.500)
Ni (0.795, 0.181, 0.000)
Ni (0.819, 0.614, 0.000)
Ni (0.878, 0.429, 0.500)
As (0.072, 0.620, 0.000)
As (0.259, 0.036, 0.500)
As (0.380, 0.452, 0.000)
As (0.548, 0.928, 0.000)
As (0.667, 0.333, 0.000)
As (0.778, 0.741, 0.500)
As (0.964, 0.222, 0.500)

Peak list (6 most intense, 2θ from 10° to 80°, low angle first)
| 2θ (°) | I_rel |
| --- | --- |
| 37.70 | 1000 |
| 46.96 | 191 |
| 47.74 | 246 |
| 51.73 | 244 |
| 54.99 | 172 |
| 73.02 | 207 |